For Na6V2C4SO16, a DFT-relaxed cell (PBE+U, Alexandria) gives the calculated X-ray powder pattern in this record (Cu Kα, 1.54184 Å).
No peak broadening, texture or thermal motion is included.

a = 14.1449 Å, b = 14.1449 Å, c = 14.1449 Å
α = 90.00°, β = 90.00°, γ = 90.00°
Space group Fd-3 (No. 203, origin choice 2)
Inequivalent atoms, fractional coordinates:
1 Na 0.0907 0.3750 0.3750 [48 per cell]
2 V 0.0000 0.0000 0.5000 [16 per cell]
3 C 0.0305 0.0305 0.7195 [32 per cell]
4 S 0.1250 0.1250 0.1250 [8 per cell]
5 O 0.0193 0.2792 0.5995 [96 per cell]
6 O 0.0639 0.0639 0.0639 [32 per cell]

Principal peaks in the range 15 to 90 degrees two-theta, in order of rising 2θ:
| 2θ (°) | intensity | h k l |
| --- | --- | --- |
| 20.8 | 88 | 3 1 1 |
| 32.9 | 100 | 5 1 1 |
| 35.9 | 72 | 4 4 0 |
| 37.6 | 21 | 5 3 1 |
| 42.4 | 13 | 6 2 2 |
| 45.8 | 21 | 7 1 1 |
| 51.7 | 11 | 8 0 0 |
| 55.1 | 11 | 8 2 2 |
| 56.3 | 32 | 5 5 5 |
| 56.7 | 18 | 6 6 2 |
| 64.6 | 14 | 8 4 4 |
| 68.6 | 14 | 9 5 1 |